# Al5GaCu2
Computed powder XRD pattern, Cu Kα (weighted mean of Kα1 and Kα2). Input: a structure optimized by DFT (GGA-PBE).
Kinematic intensities with the Lorentz-polarization factor, no thermal factor.

```
data_Al5GaCu2
_chemical_formula_sum 'Al10 Ga2 Cu4'
_symmetry_space_group_name_H-M 'I m m m'
_symmetry_Int_Tables_number 71
_symmetry_space_group_name_Hall '-I 2 2'
_cell_length_a 3.8299
_cell_length_b 7.6437
_cell_length_c 9.0416
_cell_angle_alpha 90.00
_cell_angle_beta 90.00
_cell_angle_gamma 90.00
loop_
_atom_site_label
_atom_site_fract_x
_atom_site_fract_y
_atom_site_fract_z
_atom_site_occupancy
Al1 0.0000 0.0000 0.0000 1
Al2 0.0000 0.3129 0.3473 1
Ga1 0.0000 0.5000 0.0000 1
Cu1 0.0000 0.0000 0.2735 1
```

Top 12 peaks for 10° ≤ 2θ ≤ 80°, by angle:
Position (°2θ)  I (rel.)  hkl
15.2  18  0 1 1
23.3  58  0 2 0
32.8  100  1 1 2
34.6  49  1 2 1
36.6  21  0 3 1
38.0  85  1 0 3
42.6  32  1 3 0
46.7  58  0 2 4
47.3  58  1 3 2
47.5  38  2 0 0
47.6  18  0 4 0
68.8  36  2 2 4